Fe3NF9: computed powder XRD pattern (Cu Kα (weighted mean of Kα1 and Kα2)), based on a cell relaxed with PBE+U.
Intensities are scaled so that the largest is 100.

Crystal structure
```
13
Lattice="7.5621 0.0000 0.0000 -3.7810 6.5490 0.0000 0.0000 0.0000 3.9066" Properties=species:S:1:pos:R:3 pbc="T T T"
Fe -1.8905 3.2745 0.0000
Fe 3.7810 0.0000 0.0000
Fe 1.8905 3.2745 0.0000
N 0.0000 0.0000 1.9533
F -1.8905 3.2745 1.9533
F 0.0000 2.7674 0.0000
F -1.3844 5.1652 0.0000
F 2.3967 1.3837 0.0000
F 3.7810 0.0000 1.9533
F 1.8905 3.2745 1.9533
F 1.3844 5.1652 0.0000
F 5.1654 1.3837 0.0000
F 3.7810 3.7815 0.0000
```

Principal peaks in the range 2θ = 10–80°, by intensity:
two_theta  I_rel  (hkl)
27.2  100  2 0 0
13.5  85  1 0 0
22.8  64  0 0 1
48.1  35  2 2 0
26.6  25  1 0 1
54.7  24  2 0 2
46.5  22  0 0 2
23.5  22  1 1 0
56.2  20  4 0 0
69.2  20  2 2 2